# Nd4Bi3N2
Simulated XRD peak list, Cu Kα, 1.54184 Å. Input: a structure optimized by DFT (GGA-PBE).

```
data_Nd4Bi3N2
_chemical_formula_sum 'Nd4 Bi3 N2'
_cell_length_a 7.3953
_cell_length_b 7.3953
_cell_length_c 9.7175
_cell_angle_alpha 113.28
_cell_angle_beta 113.28
_cell_angle_gamma 31.47
_space_group_name_H-M_alt 'P 1'
_space_group_IT_number 1
_space_group_name_Hall 'P 1'
loop_
_atom_site_label
_atom_site_type_symbol
_atom_site_fract_x
_atom_site_fract_y
_atom_site_fract_z
Nd1 Nd 0.1341 0.1341 0.4312
Nd2 Nd 0.2961 0.2961 0.8539
Nd3 Nd 0.7039 0.7039 0.1461
Nd4 Nd 0.8659 0.8659 0.5688
Bi1 Bi 0.0000 0.0000 0.0000
Bi2 Bi 0.4109 0.4109 0.2548
Bi3 Bi 0.5891 0.5891 0.7452
N1 N 0.3003 0.3003 0.6300
N2 N 0.6997 0.6997 0.3700
```

Principal peaks in the range 10 to 80 degrees two-theta, in order of rising 2θ:
d = 3.236 Å, 27.57 deg, intensity 57
d = 3.059 Å, 29.20 deg, intensity 100
d = 2.739 Å, 32.70 deg, intensity 68
d = 2.709 Å, 33.07 deg, intensity 32
d = 2.364 Å, 38.06 deg, intensity 22
d = 2.006 Å, 45.21 deg, intensity 17
d = 1.919 Å, 47.37 deg, intensity 27
d = 1.705 Å, 53.78 deg, intensity 18
d = 1.688 Å, 54.34 deg, intensity 15
d = 1.683 Å, 54.52 deg, intensity 14
d = 1.612 Å, 57.14 deg, intensity 14
d = 1.259 Å, 75.50 deg, intensity 12